Diffraction record for Pr3ZnSi. The PXRD pattern is simulated, not measured: it uses a DFT-relaxed cell (PBE, Alexandria) and CuKα.

Structural model:
```
data_Pr3ZnSi
_chemical_formula_sum 'Pr6 Zn2 Si2'
_cell_length_a 4.4824
_cell_length_b 7.1767
_cell_length_c 9.0872
_cell_angle_alpha 93.98
_cell_angle_beta 90.26
_cell_angle_gamma 108.01
_space_group_name_H-M_alt 'P -1'
_space_group_IT_number 2
_space_group_name_Hall '-P 1'
loop_
_atom_site_label
_atom_site_type_symbol
_atom_site_fract_x
_atom_site_fract_y
_atom_site_fract_z
Pr1 Pr 0.0487 0.1005 0.3203
Pr2 Pr 0.2364 0.4711 0.6732
Pr3 Pr 0.4029 0.8154 0.1025
Zn1 Zn 0.2008 0.3901 0.0645
Si1 Si 0.4126 0.8248 0.4450
```

Top 8 peaks for 2θ = 10–90°, low angle first:
29.12°, d = 3.067 Å, I = 1000
29.27°, d = 3.051 Å, I = 217
30.19°, d = 2.960 Å, I = 875
31.69°, d = 2.824 Å, I = 508
35.97°, d = 2.497 Å, I = 277
36.14°, d = 2.485 Å, I = 266
40.24°, d = 2.241 Å, I = 451
41.42°, d = 2.180 Å, I = 277

---

Diffraction record for Pr3Zn3Si. The PXRD pattern is simulated, not measured: it uses a DFT-relaxed cell (PBE, Alexandria) and CuKα.

Structural model:
```
data_Pr3Zn3Si
_chemical_formula_sum 'Pr6 Zn6 Si2'
_cell_length_a 4.1532
_cell_length_b 4.2536
_cell_length_c 19.5966
_cell_angle_alpha 90.00
_cell_angle_beta 90.00
_cell_angle_gamma 90.00
_space_group_name_H-M_alt 'I m m 2'
_space_group_IT_number 44
_space_group_name_Hall 'I 2 -2'
loop_
_atom_site_label
_atom_site_type_symbol
_atom_site_fract_x
_atom_site_fract_y
_atom_site_fract_z
Pr1 Pr 0.0000 0.0000 0.0000
Pr2 Pr 0.0000 0.0000 0.3708
Pr3 Pr 0.0000 0.5000 0.1949
Zn1 Zn 0.0000 0.0000 0.5520
Zn2 Zn 0.0000 0.0000 0.8233
Zn3 Zn 0.0000 0.5000 0.6255
Si1 Si 0.0000 0.5000 0.7513
```

Top 8 peaks for 2θ = 10–90°, low angle first:
24.98°, d = 3.564 Å, I = 187
27.31°, d = 3.266 Å, I = 133
31.43°, d = 2.846 Å, I = 1000
35.33°, d = 2.541 Å, I = 206
38.50°, d = 2.338 Å, I = 191
42.50°, d = 2.127 Å, I = 159
43.58°, d = 2.077 Å, I = 148
53.78°, d = 1.705 Å, I = 175

---

Diffraction record for PrSm3. The PXRD pattern is simulated, not measured: it uses a DFT-relaxed cell (PBE, Alexandria) and CuKα.

Structural model:
```
data_PrSm3
_chemical_formula_sum 'Pr1 Sm3'
_cell_length_a 3.6479
_cell_length_b 5.1649
_cell_length_c 7.2990
_cell_angle_alpha 90.00
_cell_angle_beta 90.00
_cell_angle_gamma 90.00
_space_group_name_H-M_alt 'P m m m'
_space_group_IT_number 47
_space_group_name_Hall '-P 2 2'
loop_
_atom_site_label
_atom_site_type_symbol
_atom_site_fract_x
_atom_site_fract_y
_atom_site_fract_z
Pr1 Pr 0.0000 0.0000 0.0000
Sm1 Sm 0.0000 0.0000 0.5000
Sm2 Sm 0.5000 0.5000 0.2524
```

Top 8 peaks for 2θ = 10–90°, low angle first:
29.98°, d = 2.980 Å, I = 1000
34.76°, d = 2.581 Å, I = 507
49.98°, d = 1.825 Å, I = 363
59.39°, d = 1.556 Å, I = 433
62.31°, d = 1.490 Å, I = 125
73.37°, d = 1.290 Å, I = 58
81.24°, d = 1.184 Å, I = 176
83.82°, d = 1.154 Å, I = 164

---

Diffraction record for Pr3Sm13. The PXRD pattern is simulated, not measured: it uses a DFT-relaxed cell (PBE, Alexandria) and CuKα.

Structural model:
```
data_Pr3Sm13
_chemical_formula_sum 'Pr6 Sm26'
_cell_length_a 10.2943
_cell_length_b 10.3144
_cell_length_c 10.3163
_cell_angle_alpha 90.00
_cell_angle_beta 90.00
_cell_angle_gamma 90.00
_space_group_name_H-M_alt 'A m m 2'
_space_group_IT_number 38
_space_group_name_Hall 'A 2 -2'
loop_
_atom_site_label
_atom_site_type_symbol
_atom_site_fract_x
_atom_site_fract_y
_atom_site_fract_z
Pr1 Pr 0.0000 0.0000 0.0000
Pr2 Pr 0.2504 0.0000 0.2523
Sm1 Sm 0.0000 0.0000 0.5033
Sm2 Sm 0.0000 0.2491 0.7517
Sm3 Sm 0.2510 0.0000 0.7511
Sm4 Sm 0.2507 0.2494 0.5017
Sm5 Sm 0.5000 0.0000 0.0010
Sm6 Sm 0.5000 0.0000 0.5025
Sm7 Sm 0.5000 0.2487 0.7518
```

Top 8 peaks for 2θ = 10–90°, low angle first:
30.03°, d = 2.976 Å, I = 1000
34.81°, d = 2.577 Å, I = 507
50.06°, d = 1.822 Å, I = 363
59.45°, d = 1.555 Å, I = 289
59.55°, d = 1.552 Å, I = 144
62.41°, d = 1.488 Å, I = 125
81.38°, d = 1.182 Å, I = 176
83.92°, d = 1.153 Å, I = 110

---

Diffraction record for Pr6Sm. The PXRD pattern is simulated, not measured: it uses a DFT-relaxed cell (PBE, Alexandria) and CuKα.

Structural model:
```
data_Pr6Sm
_chemical_formula_sum 'Pr18 Sm3'
_cell_length_a 15.4879
_cell_length_b 15.4879
_cell_length_c 3.6450
_cell_angle_alpha 90.00
_cell_angle_beta 90.00
_cell_angle_gamma 120.00
_space_group_name_H-M_alt 'R -3'
_space_group_IT_number 148
_space_group_name_Hall '-R 3'
loop_
_atom_site_label
_atom_site_type_symbol
_atom_site_fract_x
_atom_site_fract_y
_atom_site_fract_z
Pr1 Pr 0.0357 0.2303 0.2296
Sm1 Sm 0.0000 0.0000 0.5000
```

Top 8 peaks for 2θ = 10–90°, low angle first:
30.20°, d = 2.959 Å, I = 956
30.54°, d = 2.927 Å, I = 1000
43.49°, d = 2.081 Å, I = 323
53.42°, d = 1.715 Å, I = 140
54.07°, d = 1.696 Å, I = 330
54.28°, d = 1.690 Å, I = 178
63.58°, d = 1.463 Å, I = 103
71.98°, d = 1.312 Å, I = 124

---

Diffraction record for Pr7Sm6. The PXRD pattern is simulated, not measured: it uses a DFT-relaxed cell (PBE, Alexandria) and CuKα.

Structural model:
```
data_Pr7Sm6
_chemical_formula_sum 'Pr21 Sm18'
_cell_length_a 6.7753
_cell_length_b 6.7753
_cell_length_c 34.7694
_cell_angle_alpha 90.00
_cell_angle_beta 90.00
_cell_angle_gamma 120.00
_space_group_name_H-M_alt 'R -3 m'
_space_group_IT_number 166
_space_group_name_Hall '-R 3 2"'
loop_
_atom_site_label
_atom_site_type_symbol
_atom_site_fract_x
_atom_site_fract_y
_atom_site_fract_z
Pr1 Pr 0.0000 0.0000 0.0000
Pr2 Pr 0.0131 0.5066 0.4128
Sm1 Sm 0.0000 0.0000 0.1645
Sm2 Sm 0.0000 0.0000 0.3520
Sm3 Sm 0.0000 0.0000 0.4546
```

Top 8 peaks for 2θ = 10–90°, low angle first:
26.31°, d = 3.388 Å, I = 350
29.87°, d = 2.991 Å, I = 322
30.57°, d = 2.924 Å, I = 1000
30.88°, d = 2.895 Å, I = 260
32.18°, d = 2.782 Å, I = 524
33.14°, d = 2.703 Å, I = 352
50.26°, d = 1.815 Å, I = 229
54.15°, d = 1.694 Å, I = 290